Diffraction record for SmCdGa. The powder diffractogram is calculated, not measured: it uses a crystal structure in the Materials Project, relaxed with GGA-PBE and Cu Kα X-rays.
Kinematic intensities with the Lorentz-polarization factor, no thermal factor.

Cell and atoms:
Unit cell a=7.396 b=7.396 c=4.454 alpha=90.00 beta=90.00 gamma=120.00
Fractional positions:
Sm: 0.000 0.422 0.000
Sm: 0.422 0.000 0.000
Sm: 0.578 0.578 0.000
Cd: 0.000 0.752 0.500
Cd: 0.248 0.248 0.500
Cd: 0.752 0.000 0.500
Ga: 0.000 0.000 0.000
Ga: 0.333 0.667 0.500
Ga: 0.667 0.333 0.500

Peak list (10 most intense, 2θ from 10° to 90°, most intense first)
2θ/deg	I_rel	index
31.4	100	1 1 1
34.5	99	2 0 1
37.1	54	2 1 0
40.5	33	0 0 2
56.1	32	2 1 2
55.7	24	3 1 1
67.1	23	3 2 1
42.3	17	3 0 0
42.5	14	2 1 1
51.4	13	3 1 0

---

Diffraction record for SrCdGa. The powder diffractogram is calculated, not measured: it uses a crystal structure in the Materials Project, relaxed with GGA-PBE and Cu Kα X-rays.
Kinematic intensities with the Lorentz-polarization factor, no thermal factor.

Cell and atoms:
Unit cell a=11.538 b=4.898 c=7.961 alpha=90.00 beta=133.39 gamma=90.00
Fractional positions:
Sr: 0.043 0.000 0.291
Sr: 0.457 0.500 0.709
Sr: 0.543 0.500 0.291
Sr: 0.957 0.000 0.709
Cd: 0.174 0.500 0.113
Cd: 0.326 0.000 0.887
Cd: 0.674 0.000 0.113
Cd: 0.826 0.500 0.887
Ga: 0.152 0.500 0.700
Ga: 0.348 0.000 0.300
Ga: 0.652 0.000 0.700
Ga: 0.848 0.500 0.300

Peak list (10 most intense, 2θ from 10° to 90°, most intense first)
2θ/deg	I_rel	index
30.8	100	1 1 -2
37.0	69	3 1 0
30.2	47	3 1 -1
36.7	45	0 2 0
35.5	35	4 0 -3
31.0	26	4 0 -2
52.0	23	4 2 -3
48.8	22	4 2 -2
59.4	15	7 1 -3
30.9	13	0 0 2

---

Diffraction record for Sr2CdGa. The powder diffractogram is calculated, not measured: it uses a crystal structure in the Materials Project, relaxed with GGA-PBE and Cu Kα X-rays.
Kinematic intensities with the Lorentz-polarization factor, no thermal factor.

Cell and atoms:
Unit cell a=7.974 b=7.974 c=7.974 alpha=90.00 beta=90.00 gamma=90.00
Fractional positions:
Sr: 0.250 0.250 0.250
Sr: 0.250 0.250 0.750
Sr: 0.250 0.750 0.250
Sr: 0.250 0.750 0.750
Sr: 0.750 0.250 0.250
Sr: 0.750 0.250 0.750
Sr: 0.750 0.750 0.250
Sr: 0.750 0.750 0.750
Cd: 0.000 0.000 0.000
Cd: 0.000 0.500 0.500
Cd: 0.500 0.000 0.500
Cd: 0.500 0.500 0.000
Ga: 0.000 0.000 0.500
Ga: 0.000 0.500 0.000
Ga: 0.500 0.000 0.000
Ga: 0.500 0.500 0.500

Peak list (9 most intense, 2θ from 10° to 90°, most intense first)
2θ/deg	I_rel	index
31.7	100	2 2 0
56.5	37	4 2 2
45.5	18	4 0 0
75.4	16	6 2 0
66.3	11	4 4 0
84.1	4	4 4 4
19.3	3	1 1 1
37.4	2	3 1 1
49.8	1	3 3 1

---

What did the third record say?
Diffraction record for Sr2CdGa. The powder diffractogram is calculated, not measured: it uses a crystal structure in the Materials Project, relaxed with GGA-PBE and Cu Kα X-rays.
Kinematic intensities with the Lorentz-polarization factor, no thermal factor.

Cell and atoms:
Unit cell a=7.974 b=7.974 c=7.974 alpha=90.00 beta=90.00 gamma=90.00
Fractional positions:
Sr: 0.250 0.250 0.250
Sr: 0.250 0.250 0.750
Sr: 0.250 0.750 0.250
Sr: 0.250 0.750 0.750
Sr: 0.750 0.250 0.250
Sr: 0.750 0.250 0.750
Sr: 0.750 0.750 0.250
Sr: 0.750 0.750 0.750
Cd: 0.000 0.000 0.000
Cd: 0.000 0.500 0.500
Cd: 0.500 0.000 0.500
Cd: 0.500 0.500 0.000
Ga: 0.000 0.000 0.500
Ga: 0.000 0.500 0.000
Ga: 0.500 0.000 0.000
Ga: 0.500 0.500 0.500

Peak list (9 most intense, 2θ from 10° to 90°, most intense first)
2θ/deg	I_rel	index
31.7	100	2 2 0
56.5	37	4 2 2
45.5	18	4 0 0
75.4	16	6 2 0
66.3	11	4 4 0
84.1	4	4 4 4
19.3	3	1 1 1
37.4	2	3 1 1
49.8	1	3 3 1

---

Please write out number 1 again, unchanged.
Diffraction record for SmCdGa. The powder diffractogram is calculated, not measured: it uses a crystal structure in the Materials Project, relaxed with GGA-PBE and Cu Kα X-rays.
Kinematic intensities with the Lorentz-polarization factor, no thermal factor.

Cell and atoms:
Unit cell a=7.396 b=7.396 c=4.454 alpha=90.00 beta=90.00 gamma=120.00
Fractional positions:
Sm: 0.000 0.422 0.000
Sm: 0.422 0.000 0.000
Sm: 0.578 0.578 0.000
Cd: 0.000 0.752 0.500
Cd: 0.248 0.248 0.500
Cd: 0.752 0.000 0.500
Ga: 0.000 0.000 0.000
Ga: 0.333 0.667 0.500
Ga: 0.667 0.333 0.500

Peak list (10 most intense, 2θ from 10° to 90°, most intense first)
2θ/deg	I_rel	index
31.4	100	1 1 1
34.5	99	2 0 1
37.1	54	2 1 0
40.5	33	0 0 2
56.1	32	2 1 2
55.7	24	3 1 1
67.1	23	3 2 1
42.3	17	3 0 0
42.5	14	2 1 1
51.4	13	3 1 0

---

What did the third record say?
Diffraction record for Sr2CdGa. The powder diffractogram is calculated, not measured: it uses a crystal structure in the Materials Project, relaxed with GGA-PBE and Cu Kα X-rays.
Kinematic intensities with the Lorentz-polarization factor, no thermal factor.

Cell and atoms:
Unit cell a=7.974 b=7.974 c=7.974 alpha=90.00 beta=90.00 gamma=90.00
Fractional positions:
Sr: 0.250 0.250 0.250
Sr: 0.250 0.250 0.750
Sr: 0.250 0.750 0.250
Sr: 0.250 0.750 0.750
Sr: 0.750 0.250 0.250
Sr: 0.750 0.250 0.750
Sr: 0.750 0.750 0.250
Sr: 0.750 0.750 0.750
Cd: 0.000 0.000 0.000
Cd: 0.000 0.500 0.500
Cd: 0.500 0.000 0.500
Cd: 0.500 0.500 0.000
Ga: 0.000 0.000 0.500
Ga: 0.000 0.500 0.000
Ga: 0.500 0.000 0.000
Ga: 0.500 0.500 0.500

Peak list (9 most intense, 2θ from 10° to 90°, most intense first)
2θ/deg	I_rel	index
31.7	100	2 2 0
56.5	37	4 2 2
45.5	18	4 0 0
75.4	16	6 2 0
66.3	11	4 4 0
84.1	4	4 4 4
19.3	3	1 1 1
37.4	2	3 1 1
49.8	1	3 3 1